# Ba4Cu3SnO9
Theoretical powder diffraction line list, CuKα. Input: a PBE-relaxed structure.

Peak list (10 most intense, 10° ≤ 2θ ≤ 80°, in order of rising 2θ)
2θ/deg  I_rel  h k l
15.51  3  1 1 0
22.00  4  2 0 0
31.31  100  2 2 0
38.60  7  2 2 2
44.87  28  4 0 0
50.52  2  4 2 0
55.74  39  4 2 2
65.33  17  4 4 0
74.24  17  6 2 0
78.53  2  6 2 2

Atomic structure:
```
data_Ba4Cu3SnO9
_chemical_formula_sum 'Ba8 Cu6 Sn2 O18'
_space_group_name_H-M_alt 'P m -3 n'
_space_group_IT_number 223
_space_group_name_Hall '-P 4n 2 3'
_cell_length_a 8.080
_cell_length_b 8.080
_cell_length_c 8.080
_cell_angle_alpha 90.00
_cell_angle_beta 90.00
_cell_angle_gamma 90.00
loop_
_atom_site_label
_atom_site_type_symbol
_atom_site_fract_x
_atom_site_fract_y
_atom_site_fract_z
Ba1 Ba 0.250 0.250 0.250
Cu1 Cu 0.000 0.000 0.500
Sn1 Sn 0.000 0.000 0.000
O1 O 0.000 0.000 0.261
O2 O 0.000 0.250 0.500
```